# 1
Mg2C2O7: calculated powder diffractogram (Cu Kα, 1.54184 Å), based on a crystal structure in Alexandria, relaxed with PBE.
Kinematic intensities with the Lorentz-polarization factor, no thermal factor.

Top 8 peaks for 10° ≤ 2θ ≤ 90°, sorted by position:
- hkl 2 0 -1, 2θ = 29.35°, intensity 22
- hkl 0 2 1, 2θ = 30.78°, intensity 100
- hkl 1 1 1, 2θ = 33.36°, intensity 33
- hkl 1 3 0, 2θ = 36.30°, intensity 16
- hkl 2 2 0, 2θ = 37.98°, intensity 19
- hkl 2 0 -2, 2θ = 41.93°, intensity 36
- hkl 3 1 -1, 2θ = 44.03°, intensity 37
- hkl 1 3 1, 2θ = 46.04°, intensity 33

Structure:
Cell: 6.3837 8.2089 4.5264 Å, 90.00 114.65 90.00°
Space group C2/m (No. 12)
Symmetry-distinct sites (fractional):
Mg  0.0000  0.1963  0.0000 x4
C  0.2401  0.0000  0.6460 x4
O  0.0000  0.5000  0.5000 x2
O  0.1790  0.0000  0.3222 x4
O  0.2435  0.1377  0.7852 x8


# 2
LiGaGe: calculated powder diffractogram (Cu Kα, 1.54184 Å), based on a crystal structure in Alexandria, relaxed with PBE.
Kinematic intensities with the Lorentz-polarization factor, no thermal factor.

Top 8 peaks for 10° ≤ 2θ ≤ 90°, sorted by position:
- hkl 0 0 1, 2θ = 21.53°, intensity 23
- hkl 1 3 0, 2θ = 31.17°, intensity 18
- hkl 1 3 1, 2θ = 38.20°, intensity 100
- hkl 0 6 0, 2θ = 43.76°, intensity 16
- hkl 0 0 2, 2θ = 43.87°, intensity 17
- hkl 2 0 0, 2θ = 45.55°, intensity 15
- hkl 2 0 2, 2θ = 65.05°, intensity 20
- hkl 1 3 3, 2θ = 76.84°, intensity 13

Structure:
Cell: 3.9827 12.4109 4.1275 Å, 90.00 90.00 90.00°
Space group Cmmm (No. 65)
Symmetry-distinct sites (fractional):
Li  0.0000  0.1648  0.0000 x4
Ga  0.0000  0.0000  0.5000 x2
Ga  0.0000  0.5000  0.0000 x2
Ge  0.0000  0.3242  0.5000 x4